Computed X-ray diffraction stick pattern
Compound: HfAl5Ni2
Radiation: Cu Kα (weighted mean of Kα1 and Kα2)
Structure: a crystal structure in the Materials Project, relaxed with GGA-PBE
Lines closer than 0.1° are merged.

Top 12 peaks for 2θ = 15–90°, in order of rising 2θ:
2θ/deg, I/Imax
22.98, 59
24.47, 29
28.87, 21
31.51, 28
38.20, 24
40.30, 100
45.16, 39
51.26, 14
52.03, 15
65.78, 12
69.77, 14
80.04, 26

Structural model:
```
HfAl5Ni2
1.0
-2.0076 2.0076 7.2749
2.0076 -2.0076 7.2749
2.0076 2.0076 -7.2749
Hf Al Ni
1 5 2
Cartesian
0.0000 0.0000 0.0000
2.0076 0.0000 2.1330
2.0076 0.0000 5.1419
0.0000 0.0000 7.2749
0.0000 2.0076 2.1330
0.0000 2.0076 5.1419
0.0000 0.0000 3.4902
0.0000 0.0000 11.0596
```